Simulated X-ray powder pattern of CrSeF for Cu Kα (λ = 1.5418 Å), from the GGA+U geometry in Alexandria.
No peak broadening, texture or thermal motion is included.

Cell and atoms:
a b c (Å): 11.5058 5.0625 5.8540
angles (deg): 90.00 90.00 90.00
Atoms (fractional coordinates):
Cr (0.0000, 0.2304, 0.0000)
Cr (0.1493, 0.7416, 0.3933)
Cr (0.3507, 0.2584, 0.8933)
Cr (0.5000, 0.7696, 0.5000)
Cr (0.6493, 0.2584, 0.8933)
Cr (0.8507, 0.7416, 0.3933)
Se (0.0000, 0.8610, 0.7104)
Se (0.1528, 0.3688, 0.7090)
Se (0.3472, 0.6312, 0.2090)
Se (0.5000, 0.1390, 0.2104)
Se (0.6528, 0.6312, 0.2090)
Se (0.8472, 0.3688, 0.7090)
F (0.0000, 0.5402, 0.2110)
F (0.1265, 0.0537, 0.1853)
F (0.3735, 0.9463, 0.6853)
F (0.5000, 0.4598, 0.7110)
F (0.6265, 0.9463, 0.6853)
F (0.8735, 0.0537, 0.1853)

Peak list (8 most intense, 2θ = 10–90°, sorted by position)
two_theta, I/Imax
16.99, 37.2
23.23, 81.3
27.81, 37.9
27.99, 52.4
33.06, 85.3
38.76, 59.2
39.17, 45.8
42.77, 100.0